# 1
# ThMg2Sn
Simulated powder diffraction line list, Cu Kα (λ = 1.5418 Å). Input: a DFT-relaxed cell (PBE, Alexandria).
No peak broadening, texture or thermal motion is included.

Crystal structure
```
4
Lattice="4.621 0.000 0.000 0.000 4.621 0.000 0.000 0.000 4.879" Properties=species:S:1:pos:R:3 pbc="T T T"
Th 0.000 0.000 0.000
Mg 0.000 2.310 2.439
Mg 2.310 0.000 2.439
Sn 2.310 2.310 0.000
```

Principal peaks in the range 2θ = 10–90°, low angle first:
18.18°, intensity 56.8
19.21°, intensity 12.0
27.29°, intensity 43.9
32.99°, intensity 100.0
36.85°, intensity 18.6
38.98°, intensity 32.0
43.33°, intensity 26.4
46.46°, intensity 21.7
54.72°, intensity 24.3
63.95°, intensity 15.3
66.84°, intensity 26.9
69.21°, intensity 12.2



# 2
# ThMgSn3
Simulated powder diffraction line list, Cu Kα (λ = 1.5418 Å). Input: a DFT-relaxed cell (PBE, Alexandria).
No peak broadening, texture or thermal motion is included.

Crystal structure
```
20
Lattice="13.690 0.000 0.000 0.000 6.215 0.000 0.000 0.000 6.347" Properties=species:S:1:pos:R:3 pbc="T T T"
Th 2.551 0.010 1.587
Th 2.551 3.097 4.760
Th 11.139 3.117 1.587
Th 11.139 6.205 4.760
Mg 5.375 1.554 0.000
Mg 5.375 1.554 3.173
Mg 8.314 4.661 0.000
Mg 8.314 4.661 3.173
Sn 0.007 1.554 0.000
Sn 0.007 1.554 3.173
Sn 3.348 3.144 1.587
Sn 3.348 6.179 4.760
Sn 5.756 4.332 4.760
Sn 5.756 4.991 1.587
Sn 7.933 1.224 4.760
Sn 7.933 1.883 1.587
Sn 10.342 0.036 1.587
Sn 10.342 3.071 4.760
Sn 13.683 4.661 0.000
Sn 13.683 4.661 3.173
```

Principal peaks in the range 2θ = 10–90°, low angle first:
21.03°, intensity 27.5
23.89°, intensity 26.9
28.10°, intensity 41.3
31.06°, intensity 57.7
31.62°, intensity 100.0
32.71°, intensity 52.4
33.05°, intensity 50.5
34.41°, intensity 62.3
34.93°, intensity 44.6
40.64°, intensity 38.7
41.19°, intensity 36.5
51.03°, intensity 25.7



# 3
# Th2MgSn
Simulated powder diffraction line list, Cu Kα (λ = 1.5418 Å). Input: a DFT-relaxed cell (PBE, Alexandria).
No peak broadening, texture or thermal motion is included.

Crystal structure
```
8
Lattice="-3.437 4.653 3.516 3.437 -4.653 3.516 3.437 4.653 -3.516" Properties=species:S:1:pos:R:3 pbc="T T T"
Th 1.718 4.815 -1.758
Th 1.718 0.162 1.758
Th -1.718 4.492 1.758
Th 1.718 4.492 1.758
Mg 3.437 2.327 -0.220
Mg 0.000 2.327 3.736
Sn 3.437 -2.327 3.315
Sn 0.000 6.980 0.201
```

Principal peaks in the range 2θ = 10–90°, low angle first:
19.07°, intensity 43.3
25.33°, intensity 25.6
25.92°, intensity 22.7
31.90°, intensity 100.0
32.38°, intensity 99.5
36.56°, intensity 72.5
38.70°, intensity 27.8
41.56°, intensity 26.7
54.29°, intensity 41.1
55.94°, intensity 13.1
62.62°, intensity 27.3
63.48°, intensity 29.0



# 4
# Th3MgSn2
Simulated powder diffraction line list, Cu Kα (λ = 1.5418 Å). Input: a DFT-relaxed cell (PBE, Alexandria).
No peak broadening, texture or thermal motion is included.

Crystal structure
```
12
Lattice="-3.246 8.685 3.197 3.246 -8.685 3.197 3.246 8.685 -3.197" Properties=species:S:1:pos:R:3 pbc="T T T"
Th 1.610 3.087 0.000
Th 0.000 0.000 1.598
Th 1.610 -3.087 3.197
Th 1.636 11.773 0.000
Th 0.000 0.000 4.795
Th 1.636 5.598 3.197
Mg 3.246 0.000 1.598
Mg 0.000 8.685 1.598
Sn 4.832 2.365 0.000
Sn 1.586 6.320 0.000
Sn 1.660 2.365 3.197
Sn -1.586 6.320 3.197
```

Principal peaks in the range 2θ = 10–90°, low angle first:
14.57°, intensity 47.1
27.48°, intensity 28.4
28.40°, intensity 72.2
29.38°, intensity 77.2
29.78°, intensity 74.6
30.89°, intensity 62.5
34.50°, intensity 57.3
34.86°, intensity 68.1
36.78°, intensity 45.0
39.57°, intensity 100.0
51.02°, intensity 63.4
56.72°, intensity 49.8



# 5
# Mg3TlSn2
Simulated powder diffraction line list, Cu Kα (λ = 1.5418 Å). Input: a DFT-relaxed cell (PBE, Alexandria).
No peak broadening, texture or thermal motion is included.

Crystal structure
```
6
Lattice="2.523 -8.392 0.000 2.523 8.392 0.000 0.000 0.000 3.506" Properties=species:S:1:pos:R:3 pbc="T T T"
Mg 0.000 0.000 0.000
Mg 2.523 3.069 0.000
Mg 2.523 -3.069 0.000
Tl 2.523 0.000 1.753
Sn 2.523 5.785 1.753
Sn 2.523 -5.785 1.753
```

Principal peaks in the range 2θ = 10–90°, low angle first:
10.54°, intensity 15.3
23.75°, intensity 66.0
25.41°, intensity 28.5
32.00°, intensity 36.6
35.05°, intensity 100.0
35.59°, intensity 24.8
41.29°, intensity 20.1
44.23°, intensity 13.6
48.60°, intensity 18.3
55.62°, intensity 13.2
59.01°, intensity 17.7
63.56°, intensity 22.0



# 6
# Tm4MgSn5
Simulated powder diffraction line list, Cu Kα (λ = 1.5418 Å). Input: a DFT-relaxed cell (PBE, Alexandria).
No peak broadening, texture or thermal motion is included.

Crystal structure
```
10
Lattice="-4.720 4.720 3.084 4.720 -4.720 3.084 4.720 4.720 -3.084" Properties=species:S:1:pos:R:3 pbc="T T T"
Tm 2.924 0.785 0.000
Tm 3.935 -1.797 3.084
Tm 0.785 6.517 0.000
Tm 1.797 3.935 3.084
Mg 0.000 0.000 4.413
Sn 0.000 0.000 1.184
Sn 5.667 2.186 -0.001
Sn 2.186 3.774 -0.001
Sn 2.535 0.947 3.082
Sn -0.947 2.535 3.082
```

Principal peaks in the range 2θ = 10–90°, low angle first:
28.95°, intensity 37.5
29.93°, intensity 100.0
31.95°, intensity 28.4
34.75°, intensity 11.4
37.31°, intensity 12.4
39.80°, intensity 15.5
42.13°, intensity 63.8
42.84°, intensity 32.7
52.53°, intensity 25.3
65.05°, intensity 12.5
68.49°, intensity 17.5
70.55°, intensity 12.7



# 7
# Tm4MgSn
Simulated powder diffraction line list, Cu Kα (λ = 1.5418 Å). Input: a DFT-relaxed cell (PBE, Alexandria).
No peak broadening, texture or thermal motion is included.

Crystal structure
```
12
Lattice="2.562 -11.554 0.000 2.562 11.554 0.000 0.000 0.000 6.380" Properties=species:S:1:pos:R:3 pbc="T T T"
Tm 2.562 9.649 3.190
Tm 2.562 7.129 5.525
Tm 2.562 6.458 2.370
Tm 2.562 3.175 4.017
Tm 2.562 -3.175 0.827
Tm 2.562 -6.458 5.560
Tm 2.562 -7.129 2.335
Tm 2.562 -9.649 0.000
Mg 2.562 10.313 6.361
Mg 2.562 -10.313 3.171
Sn 2.562 3.652 0.737
Sn 2.562 -3.652 3.926
```

Principal peaks in the range 2θ = 10–90°, low angle first:
15.34°, intensity 20.0
25.11°, intensity 24.8
29.56°, intensity 21.9
32.05°, intensity 33.8
32.26°, intensity 100.0
33.31°, intensity 38.8
35.02°, intensity 58.8
35.13°, intensity 87.2
35.27°, intensity 33.4
38.52°, intensity 31.1
48.20°, intensity 21.9
62.91°, intensity 22.7



# 8
# Tm2MgSn3
Simulated powder diffraction line list, Cu Kα (λ = 1.5418 Å). Input: a DFT-relaxed cell (PBE, Alexandria).
No peak broadening, texture or thermal motion is included.

Crystal structure
```
12
Lattice="5.077 -5.571 0.000 5.077 5.571 0.000 0.000 0.000 5.974" Properties=species:S:1:pos:R:3 pbc="T T T"
Tm 3.311 3.585 2.987
Tm 6.843 3.585 2.987
Tm 3.311 -3.585 0.000
Tm 6.843 -3.585 0.000
Mg 5.077 2.047 0.148
Mg 5.077 -2.047 3.135
Sn 1.590 1.072 2.985
Sn 1.590 -1.072 5.972
Sn 5.077 0.882 3.114
Sn 5.077 -0.882 0.127
Sn 8.563 1.072 2.985
Sn 8.563 -1.072 5.972
```

Principal peaks in the range 2θ = 10–90°, low angle first:
27.54°, intensity 99.5
29.91°, intensity 100.0
35.56°, intensity 94.8
35.90°, intensity 37.4
39.04°, intensity 71.7
41.11°, intensity 68.3
47.40°, intensity 34.2
56.83°, intensity 24.7
63.15°, intensity 22.6
66.52°, intensity 29.1
66.82°, intensity 29.6
69.28°, intensity 23.2